Starting from a DFT-relaxed cell (PBE, Alexandria), the powder X-ray diffraction pattern of HoTmSiAu was computed for Cu Kα (λ = 1.5418 Å).

Principal peaks in the range 10° ≤ 2θ ≤ 90°, most intense first:
2theta, I/Imax
35.92, 100
64.56, 37
21.77, 21
51.70, 18
87.17, 17
42.39, 12
76.15, 11
56.74, 5
25.19, 4
80.32, 4

```
HoTmSiAu
1.0
0.000 3.536 3.536
3.536 0.000 3.536
3.536 3.536 0.000
Ho Tm Si Au
1 1 1 1
Direct
0.000 0.000 0.000
0.500 0.500 0.500
0.250 0.250 0.250
0.750 0.750 0.750
```

Starting from a DFT-relaxed cell (PBE, Alexandria), the powder X-ray diffraction pattern of Na2CeF5 was computed for Cu Kα (λ = 1.5418 Å).

Principal peaks in the range 10° ≤ 2θ ≤ 90°, most intense first:
2theta, I/Imax
16.21, 100
30.25, 72
29.31, 54
17.84, 43
40.68, 43
18.16, 36
47.15, 33
31.25, 31
54.34, 31
44.00, 31

```
Na2CeF5
1.0
9.942 0.000 0.000
0.000 7.341 0.000
0.000 0.000 6.545
Na Ce F
8 4 20
Direct
0.175 0.011 0.015
0.175 0.489 0.015
0.325 0.511 0.515
0.325 0.989 0.515
0.675 0.011 0.485
0.675 0.489 0.485
0.825 0.511 0.985
0.825 0.989 0.985
0.004 0.750 0.417
0.496 0.250 0.917
0.504 0.750 0.083
0.996 0.250 0.583
0.002 0.250 0.941
0.101 0.038 0.355
0.101 0.462 0.355
0.181 0.750 0.639
0.224 0.250 0.692
0.276 0.750 0.192
0.319 0.250 0.139
0.399 0.538 0.855
0.399 0.962 0.855
0.498 0.750 0.441
0.502 0.250 0.559
0.601 0.038 0.145
0.601 0.462 0.145
0.681 0.750 0.861
0.724 0.250 0.808
0.776 0.750 0.308
0.819 0.250 0.361
0.899 0.538 0.645
0.899 0.962 0.645
0.998 0.750 0.059
```

Starting from a DFT-relaxed cell (PBE, Alexandria), the powder X-ray diffraction pattern of EuGe2Pt2 was computed for Cu Kα (λ = 1.5418 Å).

Principal peaks in the range 10° ≤ 2θ ≤ 90°, most intense first:
2theta, I/Imax
33.45, 100
33.94, 71
40.51, 67
33.81, 55
40.23, 50
34.26, 34
58.42, 33
53.27, 32
29.55, 29
46.34, 27

```
EuGe2Pt2
1.0
9.867 0.000 0.000
0.000 4.483 0.000
-0.199 0.000 8.907
Eu Ge Pt
4 8 8
Direct
0.245 0.242 0.130
0.245 0.258 0.630
0.755 0.742 0.370
0.755 0.758 0.870
0.000 0.237 0.374
0.000 0.263 0.874
0.000 0.737 0.126
0.000 0.763 0.626
0.382 0.686 0.392
0.382 0.814 0.892
0.618 0.186 0.108
0.618 0.314 0.608
0.126 0.738 0.379
0.126 0.762 0.879
0.500 0.175 0.359
0.500 0.325 0.859
0.500 0.675 0.141
0.500 0.825 0.641
0.874 0.238 0.121
0.874 0.262 0.621
```

Starting from a DFT-relaxed cell (PBE, Alexandria), the powder X-ray diffraction pattern of Sn3Te3Ir2 was computed for Cu Kα (λ = 1.5418 Å).

Principal peaks in the range 10° ≤ 2θ ≤ 90°, most intense first:
2theta, I/Imax
29.86, 100
42.73, 83
18.75, 58
47.04, 57
35.49, 37
49.09, 25
26.64, 20
65.42, 20
67.08, 17
87.41, 14

```
Sn3Te3Ir2
1.0
6.688 3.861 5.470
-6.688 3.861 5.470
0.000 -7.722 5.470
Sn Te Ir
12 12 8
Direct
0.000 0.325 0.840
0.000 0.675 0.160
0.160 0.000 0.675
0.175 0.340 0.502
0.325 0.840 0.000
0.340 0.502 0.175
0.498 0.825 0.660
0.502 0.175 0.340
0.660 0.498 0.825
0.675 0.160 0.000
0.825 0.660 0.498
0.840 0.000 0.325
0.002 0.346 0.150
0.150 0.002 0.346
0.154 0.650 0.500
0.346 0.150 0.002
0.350 0.500 0.846
0.500 0.154 0.650
0.500 0.846 0.350
0.650 0.500 0.154
0.654 0.850 0.998
0.846 0.350 0.500
0.850 0.998 0.654
0.998 0.654 0.850
0.247 0.748 0.748
0.249 0.249 0.249
0.252 0.252 0.753
0.252 0.753 0.252
0.748 0.247 0.748
0.748 0.748 0.247
0.751 0.751 0.751
0.753 0.252 0.252
```

Starting from a DFT-relaxed cell (PBE, Alexandria), the powder X-ray diffraction pattern of DyPaGa4 was computed for Cu Kα (λ = 1.5418 Å).

Principal peaks in the range 10° ≤ 2θ ≤ 90°, most intense first:
2theta, I/Imax
32.94, 100
37.73, 50
28.30, 39
43.68, 37
59.06, 27
48.96, 24
73.41, 20
67.68, 18
52.87, 14
63.49, 12

```
DyPaGa4
1.0
-2.072 2.072 7.288
2.072 -2.072 7.288
2.072 2.072 -7.288
Dy Pa Ga
1 1 4
Direct
0.000 0.000 0.000
0.750 0.250 0.500
0.168 0.668 0.500
0.332 0.832 0.500
0.417 0.417 0.000
0.583 0.583 0.000
```

Starting from a DFT-relaxed cell (PBE, Alexandria), the powder X-ray diffraction pattern of Sr3Sb5Rh6 was computed for Cu Kα (λ = 1.5418 Å).

Principal peaks in the range 10° ≤ 2θ ≤ 90°, most intense first:
2theta, I/Imax
33.33, 100
41.99, 40
44.23, 39
40.75, 38
32.16, 35
16.19, 28
31.77, 22
59.94, 15
58.79, 14
71.23, 13

```
Sr3Sb5Rh6
1.0
4.303 0.000 0.000
0.000 13.286 0.000
0.000 0.000 10.947
Sr Sb Rh
6 10 12
Direct
0.250 0.094 0.242
0.250 0.406 0.242
0.250 0.750 0.246
0.750 0.250 0.754
0.750 0.594 0.758
0.750 0.906 0.758
0.250 0.076 0.647
0.250 0.424 0.647
0.250 0.625 0.990
0.250 0.750 0.620
0.250 0.875 0.990
0.750 0.125 0.010
0.750 0.250 0.380
0.750 0.375 0.010
0.750 0.576 0.353
0.750 0.924 0.353
0.250 0.055 0.889
0.250 0.250 0.518
0.250 0.250 0.992
0.250 0.445 0.889
0.250 0.581 0.493
0.250 0.919 0.493
0.750 0.081 0.507
0.750 0.419 0.507
0.750 0.555 0.111
0.750 0.750 0.008
0.750 0.750 0.482
0.750 0.945 0.111
```

Starting from a DFT-relaxed cell (PBE, Alexandria), the powder X-ray diffraction pattern of MgHgPd was computed for Cu Kα (λ = 1.5418 Å).

Principal peaks in the range 10° ≤ 2θ ≤ 90°, most intense first:
2theta, I/Imax
38.86, 100
27.97, 56
37.57, 56
68.67, 37
18.61, 23
54.19, 20
71.22, 16
54.31, 13
42.24, 13
62.07, 13

```
MgHgPd
1.0
-1.693 1.693 4.768
1.693 -1.693 4.768
1.693 1.693 -4.768
Mg Hg Pd
1 1 1
Direct
0.000 0.000 0.000
0.683 0.683 0.000
0.363 0.363 0.000
```

Starting from a DFT-relaxed cell (PBE, Alexandria), the powder X-ray diffraction pattern of CsNiSe2 was computed for Cu Kα (λ = 1.5418 Å).

Principal peaks in the range 10° ≤ 2θ ≤ 90°, most intense first:
2theta, I/Imax
27.16, 100
34.03, 96
47.44, 49
29.91, 48
27.66, 40
22.83, 37
52.54, 28
39.15, 27
58.79, 22
62.88, 20

```
CsNiSe2
1.0
7.154 0.000 0.000
0.000 9.674 0.000
0.000 0.000 6.567
Cs Ni Se
4 4 8
Direct
0.250 0.167 0.250
0.250 0.833 0.750
0.750 0.167 0.250
0.750 0.833 0.750
0.250 0.339 0.750
0.250 0.661 0.250
0.750 0.339 0.750
0.750 0.661 0.250
0.000 0.179 0.741
0.000 0.491 0.700
0.000 0.509 0.300
0.000 0.821 0.259
0.500 0.179 0.759
0.500 0.491 0.800
0.500 0.509 0.200
0.500 0.821 0.241
```

Starting from a DFT-relaxed cell (PBE, Alexandria), the powder X-ray diffraction pattern of BeAlPd was computed for Cu Kα (λ = 1.5418 Å).

Principal peaks in the range 10° ≤ 2θ ≤ 90°, most intense first:
2theta, I/Imax
38.92, 100
22.85, 85
38.12, 57
45.14, 48
15.18, 41
50.32, 34
42.25, 32
36.75, 29
52.24, 28
66.00, 26

```
BeAlPd
1.0
1.415 0.817 11.675
-1.415 0.817 11.675
0.000 -1.634 11.675
Be Al Pd
2 2 2
Direct
0.000 0.000 0.000
0.116 0.116 0.116
0.725 0.725 0.725
0.892 0.892 0.892
0.284 0.284 0.284
0.499 0.499 0.499
```

Starting from a DFT-relaxed cell (PBE, Alexandria), the powder X-ray diffraction pattern of La4Ni2I5 was computed for Cu Kα (λ = 1.5418 Å).

Principal peaks in the range 10° ≤ 2θ ≤ 90°, most intense first:
2theta, I/Imax
28.86, 100
26.85, 51
36.49, 45
32.53, 31
41.73, 22
24.47, 21
58.94, 20
50.32, 18
43.07, 17
10.71, 16

```
La4Ni2I5
1.0
-2.165 4.536 9.963
2.165 -4.536 9.963
2.165 4.536 -9.963
La Ni I
4 2 5
Direct
0.176 0.176 0.000
0.206 0.500 0.706
0.794 0.500 0.294
0.824 0.824 0.000
0.056 0.056 0.000
0.944 0.944 0.000
0.111 0.333 0.778
0.444 0.667 0.778
0.500 0.000 0.500
0.556 0.333 0.222
0.889 0.667 0.222
```

Starting from a DFT-relaxed cell (PBE, Alexandria), the powder X-ray diffraction pattern of NdMnPt2 was computed for Cu Kα (λ = 1.5418 Å).

Principal peaks in the range 10° ≤ 2θ ≤ 90°, most intense first:
2theta, I/Imax
37.73, 100
37.49, 60
67.80, 36
29.51, 21
54.06, 21
26.27, 14
56.26, 13
68.27, 10
76.38, 9
40.36, 8

```
NdMnPt2
1.0
3.392 0.000 0.000
0.000 3.392 0.000
0.000 0.000 6.704
Nd Mn Pt
1 1 2
Direct
0.000 0.000 0.000
0.000 0.000 0.500
0.500 0.500 0.289
0.500 0.500 0.711
```